This entry pairs a crystal structure of Ce3Sb3O with its computed PXRD pattern. Radiation: Cu Kα (weighted mean of Kα1 and Kα2). Structure: a PBE-relaxed structure.
Peak positions follow from Bragg's law for the DFT cell and can differ from measured ones.

Atomic structure:
a b c (Å): 12.664 4.384 13.622
angles (deg): 90.00 90.00 90.00
Space group Pnma (No. 62)
Inequivalent atoms, fractional coordinates:
Ce 0.007 0.250 0.160
Ce 0.103 0.250 0.630
Ce 0.234 0.250 0.885
Sb 0.072 0.250 0.395
Sb 0.143 0.750 0.027
Sb 0.247 0.750 0.717
O 0.068 0.250 0.802

Top 10 peaks for 10 to 90 degrees two-theta, sorted by position:
hkl 0 0 4, 2θ 26.17, d 3.405, intensity 25
hkl 0 1 3, 2θ 28.30, d 3.154, intensity 24
hkl 3 0 3, 2θ 28.88, d 3.091, intensity 31
hkl 3 1 1, 2θ 30.11, d 2.968, intensity 100
hkl 4 0 2, 2θ 31.15, d 2.871, intensity 25
hkl 2 1 3, 2θ 31.70, d 2.823, intensity 64
hkl 1 1 4, 2θ 34.08, d 2.631, intensity 26
hkl 4 1 1, 2θ 35.57, d 2.524, intensity 56
hkl 2 1 4, 2θ 36.29, d 2.475, intensity 61
hkl 0 2 0, 2θ 41.18, d 2.192, intensity 57

***

This entry pairs a crystal structure of CeSb4O12 with its computed PXRD pattern. Radiation: Cu Kα (weighted mean of Kα1 and Kα2). Structure: a PBE-relaxed structure.
Peak positions follow from Bragg's law for the DFT cell and can differ from measured ones.

Atomic structure:
a b c (Å): 7.877 7.877 7.637
angles (deg): 90.00 90.00 90.00
Space group I4/mmm (No. 139)
Inequivalent atoms, fractional coordinates:
Ce 0.000 0.000 0.000
Sb 0.250 0.250 0.250
O 0.000 0.240 0.192
O 0.208 0.208 0.500

Top 10 peaks for 10 to 90 degrees two-theta, sorted by position:
hkl 1 1 0, 2θ 15.91, d 5.570, intensity 22
hkl 1 0 1, 2θ 16.17, d 5.483, intensity 39
hkl 2 0 0, 2θ 22.58, d 3.939, intensity 67
hkl 0 0 2, 2θ 23.30, d 3.818, intensity 27
hkl 2 1 1, 2θ 27.89, d 3.199, intensity 16
hkl 2 2 0, 2θ 32.14, d 2.785, intensity 48
hkl 2 0 2, 2θ 32.66, d 2.741, intensity 100
hkl 4 0 0, 2θ 46.09, d 1.969, intensity 36
hkl 4 2 2, 2θ 57.63, d 1.599, intensity 44
hkl 2 2 4, 2θ 58.63, d 1.575, intensity 24

***

This entry pairs a crystal structure of Ce4ScO10 with its computed PXRD pattern. Radiation: Cu Kα (weighted mean of Kα1 and Kα2). Structure: a PBE-relaxed structure.
Peak positions follow from Bragg's law for the DFT cell and can differ from measured ones.

Atomic structure:
a b c (Å): 3.8389 3.8389 46.2161
angles (deg): 90.00 90.00 120.00
Space group R-3m (No. 166, hexagonal axes)
Inequivalent atoms, fractional coordinates:
Ce 0.0000 0.0000 0.1031
Ce 0.0000 0.0000 0.2990
Sc 0.0000 0.0000 0.5000
O 0.0000 0.0000 0.0516
O 0.0000 0.0000 0.1543
O 0.0000 0.0000 0.2474
O 0.0000 0.0000 0.3505
O 0.0000 0.0000 0.4537

Top 10 peaks for 10 to 90 degrees two-theta, sorted by position:
hkl 0 1 5, 2θ 28.53, d 3.128, intensity 100
hkl 0 0 15, 2θ 28.98, d 3.081, intensity 32
hkl 1 0 10, 2θ 33.20, d 2.699, intensity 34
hkl 1 1 0, 2θ 47.36, d 1.919, intensity 39
hkl 0 1 20, 2θ 47.94, d 1.897, intensity 34
hkl 2 0 5, 2θ 56.23, d 1.636, intensity 15
hkl 1 1 15, 2θ 56.48, d 1.629, intensity 29
hkl 1 0 25, 2θ 57.00, d 1.616, intensity 12
hkl 1 2 5, 2θ 76.51, d 1.245, intensity 12
hkl 1 2 20, 2θ 88.59, d 1.104, intensity 11

***

This entry pairs a crystal structure of CeScSeO2 with its computed PXRD pattern. Radiation: Cu Kα (weighted mean of Kα1 and Kα2). Structure: a PBE-relaxed structure.
Peak positions follow from Bragg's law for the DFT cell and can differ from measured ones.

Atomic structure:
a b c (Å): 3.957 3.969 6.119
angles (deg): 90.00 90.00 90.00
Space group Pmm2 (No. 25)
Inequivalent atoms, fractional coordinates:
Ce 0.000 0.000 0.000
Sc 0.500 0.500 0.333
Se 0.500 0.500 0.764
O 0.000 0.500 0.224
O 0.500 0.000 0.222

Top 10 peaks for 10 to 90 degrees two-theta, sorted by position:
hkl 0 0 1, 2θ 14.47, d 6.119, intensity 69
hkl 0 1 1, 2θ 26.80, d 3.326, intensity 100
hkl 1 1 0, 2θ 31.94, d 2.802, intensity 65
hkl 1 1 1, 2θ 35.23, d 2.548, intensity 37
hkl 0 1 2, 2θ 37.12, d 2.422, intensity 99
hkl 0 2 0, 2θ 45.72, d 1.985, intensity 19
hkl 2 0 0, 2θ 45.87, d 1.978, intensity 19
hkl 1 2 1, 2θ 53.81, d 1.704, intensity 14
hkl 1 1 3, 2θ 55.74, d 1.649, intensity 20
hkl 2 1 2, 2θ 60.36, d 1.534, intensity 47

***

This entry pairs a crystal structure of Ce2Sc4Si3O2 with its computed PXRD pattern. Radiation: Cu Kα (weighted mean of Kα1 and Kα2). Structure: a PBE-relaxed structure.
Peak positions follow from Bragg's law for the DFT cell and can differ from measured ones.

Atomic structure:
a b c (Å): 4.282 4.282 23.159
angles (deg): 90.00 90.00 90.00
Space group I4/mmm (No. 139)
Inequivalent atoms, fractional coordinates:
Ce 0.000 0.000 0.196
Sc 0.000 0.500 0.077
Si 0.000 0.000 0.334
Si 0.000 0.000 0.500
O 0.000 0.000 0.088

Top 10 peaks for 10 to 90 degrees two-theta, sorted by position:
hkl 1 0 3, 2θ 23.76, d 3.745, intensity 89
hkl 1 0 5, 2θ 28.39, d 3.144, intensity 46
hkl 1 1 0, 2θ 29.50, d 3.028, intensity 28
hkl 1 1 2, 2θ 30.52, d 2.929, intensity 100
hkl 0 0 8, 2θ 30.89, d 2.895, intensity 40
hkl 1 0 7, 2θ 34.25, d 2.618, intensity 63
hkl 1 1 6, 2θ 37.76, d 2.382, intensity 73
hkl 2 0 0, 2θ 42.21, d 2.141, intensity 72
hkl 2 0 8, 2θ 53.21, d 1.721, intensity 33
hkl 2 1 7, 2θ 55.44, d 1.657, intensity 30

***

This entry pairs a crystal structure of SrCeScO4 with its computed PXRD pattern. Radiation: Cu Kα (weighted mean of Kα1 and Kα2). Structure: a PBE-relaxed structure.
Peak positions follow from Bragg's law for the DFT cell and can differ from measured ones.

Atomic structure:
a b c (Å): 5.725 12.395 5.889
angles (deg): 90.00 90.00 90.00
Space group Cmc2_1 (No. 36)
Inequivalent atoms, fractional coordinates:
Sr 0.000 0.105 0.000
Ce 0.000 0.393 0.025
Sc 0.000 0.245 0.516
O 0.000 0.083 0.580
O 0.000 0.432 0.417
O 0.244 0.275 0.771

Top 10 peaks for 10 to 90 degrees two-theta, sorted by position:
hkl 1 1 1, 2θ 22.82, d 3.897, intensity 27
hkl 0 4 0, 2θ 28.81, d 3.099, intensity 12
hkl 0 0 2, 2θ 30.36, d 2.944, intensity 33
hkl 1 3 1, 2θ 30.70, d 2.912, intensity 100
hkl 2 0 0, 2θ 31.25, d 2.863, intensity 36
hkl 0 4 2, 2θ 42.34, d 2.134, intensity 15
hkl 2 4 0, 2θ 43.02, d 2.103, intensity 15
hkl 2 0 2, 2θ 44.12, d 2.052, intensity 37
hkl 1 3 3, 2θ 54.17, d 1.693, intensity 31
hkl 3 3 1, 2θ 55.27, d 1.662, intensity 19

***

This entry pairs a crystal structure of Ce3Se3O2 with its computed PXRD pattern. Radiation: Cu Kα (weighted mean of Kα1 and Kα2). Structure: a PBE-relaxed structure.
Peak positions follow from Bragg's law for the DFT cell and can differ from measured ones.

Atomic structure:
a b c (Å): 3.919 12.610 13.995
angles (deg): 90.00 90.00 90.00
Space group Cmcm (No. 63)
Inequivalent atoms, fractional coordinates:
Ce 0.000 0.142 0.046
Ce 0.000 0.166 0.750
Se 0.000 0.165 0.250
Se 0.000 0.449 0.114
O 0.000 0.266 0.572

Top 10 peaks for 10 to 90 degrees two-theta, sorted by position:
hkl 0 2 3, 2θ 23.74, d 3.747, intensity 33
hkl 0 4 0, 2θ 28.31, d 3.152, intensity 18
hkl 0 2 4, 2θ 29.19, d 3.059, intensity 23
hkl 1 1 3, 2θ 30.63, d 2.919, intensity 35
hkl 1 3 0, 2θ 31.20, d 2.866, intensity 100
hkl 0 4 3, 2θ 34.33, d 2.612, intensity 20
hkl 1 1 4, 2θ 35.11, d 2.556, intensity 68
hkl 1 3 3, 2θ 36.80, d 2.442, intensity 23
hkl 1 3 4, 2θ 40.69, d 2.217, intensity 17
hkl 2 0 0, 2θ 46.34, d 1.959, intensity 26

***

This entry pairs a crystal structure of Ce3Se3O with its computed PXRD pattern. Radiation: Cu Kα (weighted mean of Kα1 and Kα2). Structure: a PBE-relaxed structure.
Peak positions follow from Bragg's law for the DFT cell and can differ from measured ones.

Atomic structure:
a b c (Å): 8.247 12.159 7.184
angles (deg): 90.00 98.87 90.00
Space group C2/m (No. 12)
Inequivalent atoms, fractional coordinates:
Ce 0.095 0.000 0.314
Ce 0.190 0.346 0.214
Se 0.000 0.162 0.000
Se 0.000 0.229 0.500
Se 0.107 0.500 0.840
O 0.197 0.000 0.640

Top 10 peaks for 10 to 90 degrees two-theta, sorted by position:
hkl 1 1 -1, 2θ 16.90, d 5.246, intensity 19
hkl 2 0 1, 2θ 26.83, d 3.323, intensity 53
hkl 1 3 1, 2θ 28.38, d 3.145, intensity 100
hkl 2 2 -2, 2θ 34.18, d 2.624, intensity 53
hkl 3 1 -1, 2θ 34.28, d 2.616, intensity 38
hkl 2 0 2, 2θ 36.03, d 2.493, intensity 18
hkl 1 3 2, 2θ 36.61, d 2.454, intensity 33
hkl 1 1 -3, 2θ 38.67, d 2.329, intensity 26
hkl 3 3 0, 2θ 39.96, d 2.256, intensity 25
hkl 2 4 -2, 2θ 43.05, d 2.101, intensity 22